Re7W5: calculated powder XRD pattern (CuKα), based on a DFT-relaxed cell (GGA-PBE, OQMD).
Kinematic intensities with the Lorentz-polarization factor, no thermal factor.

Structural model:
Cell lengths 5.1510, 5.1510, 16.7211 Å; angles 90.00, 90.00, 120.00 degrees
Positions (direct):
Re: 0.0000 0.0000 0.0918
Re: 0.0000 0.0000 0.4082
Re: 0.0000 0.0000 0.5918
Re: 0.0000 0.0000 0.9082
Re: 0.0000 0.5000 0.0000
Re: 0.0000 0.5000 0.5000
Re: 0.3333 0.6667 0.1524
Re: 0.3333 0.6667 0.3476
Re: 0.5000 0.0000 0.0000
Re: 0.5000 0.0000 0.5000
Re: 0.5000 0.5000 0.0000
Re: 0.5000 0.5000 0.5000
Re: 0.6667 0.3333 0.6524
Re: 0.6667 0.3333 0.8476
W: 0.1628 0.3256 0.7500
W: 0.1628 0.8372 0.7500
W: 0.3256 0.1628 0.2500
W: 0.3333 0.6667 0.6233
W: 0.3333 0.6667 0.8767
W: 0.6667 0.3333 0.1233
W: 0.6667 0.3333 0.3767
W: 0.6744 0.8372 0.7500
W: 0.8372 0.1628 0.2500
W: 0.8372 0.6744 0.2500

Top 10 peaks for 10 to 90 degrees two-theta, by angle:
34.83 deg, intensity 27, hkl 1 1 0
38.07 deg, intensity 49, hkl 1 0 6
41.17 deg, intensity 100, hkl 1 1 4
41.92 deg, intensity 64, hkl 2 0 2
43.29 deg, intensity 20, hkl 0 0 8
43.71 deg, intensity 20, hkl 2 0 3
64.61 deg, intensity 19, hkl 2 1 6
66.77 deg, intensity 24, hkl 3 0 4
70.37 deg, intensity 23, hkl 2 0 10
73.55 deg, intensity 28, hkl 2 2 0